1.
For U2Pt2Rh5, the PBE geometry in Alexandria gives the theoretical XRD peak list in this record (Cu Kα X-rays).
Neutral-atom scattering factors, no anomalous dispersion.

Largest 8 diffraction maxima, by angle, 2θ = 10–80°:
d (Å), 2θ (°), intensity, h k l
5.822, 15.22, 17, 2 0 0
2.354, 38.23, 100, 3 1 -2
2.328, 38.68, 92, 3 1 1
2.080, 43.51, 35, 0 2 0
2.067, 43.80, 31, 6 0 -1
1.944, 46.74, 28, 0 0 3
1.466, 63.45, 20, 6 2 -1
1.420, 65.75, 20, 0 2 3

Cell and atoms:
Cell: 12.402 4.160 6.219 Å, 90.00 110.35 90.00°
Space group C2/m (No. 12)
One atom of each set of equivalent atoms:
U  0.149  0.000  0.487
Pt  0.220  0.500  0.828
Rh  0.000  0.500  0.500
Rh  0.055  0.000  0.832
Rh  0.118  0.500  0.180


2.
For U2Pt7Rh, the PBE geometry in Alexandria gives the theoretical XRD peak list in this record (Cu Kα X-rays).
Neutral-atom scattering factors, no anomalous dispersion.

Largest 8 diffraction maxima, by angle, 2θ = 10–80°:
d (Å), 2θ (°), intensity, h k l
3.893, 22.85, 51, 0 0 1
3.348, 26.62, 26, 1 1 1
2.236, 40.34, 100, 1 5 1
2.050, 44.18, 60, 3 1 1
2.039, 44.44, 41, 2 6 0
1.946, 46.67, 34, 0 0 2
1.408, 66.41, 25, 2 6 2
1.244, 76.59, 29, 5 5 1

Cell and atoms:
Cell: 7.334 14.715 3.893 Å, 90.00 90.00 90.00°
Space group Cmmm (No. 65)
One atom of each set of equivalent atoms:
U  0.000  0.189  0.000
Pt  0.000  0.000  0.000
Pt  0.000  0.315  0.500
Pt  0.192  0.402  0.000
Rh  0.000  0.500  0.500


3.
For V4Pt5Rh2, the PBE geometry in Alexandria gives the theoretical XRD peak list in this record (Cu Kα X-rays).
Neutral-atom scattering factors, no anomalous dispersion.

Largest 8 diffraction maxima, by angle, 2θ = 10–80°:
d (Å), 2θ (°), intensity, h k l
2.738, 32.70, 100, 0 1 0
2.546, 35.25, 49, 1 0 3
2.381, 37.79, 55, 2 0 -3
2.249, 40.09, 47, 1 1 -2
2.225, 40.54, 49, 3 0 0
2.182, 41.37, 45, 1 0 -4
2.116, 42.73, 66, 2 1 0
1.797, 50.82, 43, 2 1 -3

Cell and atoms:
Cell: 6.750 2.738 8.876 Å, 90.00 98.45 90.00°
Space group P2/m (No. 10)
One atom of each set of equivalent atoms:
V  0.183  0.000  0.378
V  0.265  0.000  0.945
Pt  0.160  0.500  0.636
Pt  0.469  0.500  0.186
Pt  0.500  0.500  0.500
Rh  0.069  0.500  0.143


4.
For V4Pt7Rh6, the PBE geometry in Alexandria gives the theoretical XRD peak list in this record (Cu Kα X-rays).
Neutral-atom scattering factors, no anomalous dispersion.

Largest 8 diffraction maxima, by angle, 2θ = 10–80°:
d (Å), 2θ (°), intensity, h k l
4.068, 21.85, 42, 2 0 0
3.321, 26.84, 20, 2 1 1
2.348, 38.33, 100, 2 2 2
2.174, 41.53, 43, 3 2 1
2.034, 44.55, 72, 4 0 0
1.734, 52.78, 22, 3 3 2
1.438, 64.83, 41, 4 4 0
1.226, 77.89, 28, 6 2 2

Cell and atoms:
Cell: 8.135 8.135 8.135 Å, 90.00 90.00 90.00°
Space group Im-3m (No. 229)
One atom of each set of equivalent atoms:
V  0.250  0.250  0.250
Pt  0.000  0.000  0.000
Pt  0.000  0.250  0.500
Rh  0.000  0.000  0.297


5.
For V4Pt5Rh, the PBE geometry in Alexandria gives the theoretical XRD peak list in this record (Cu Kα X-rays).
Neutral-atom scattering factors, no anomalous dispersion.

Largest 8 diffraction maxima, by angle, 2θ = 10–80°:
d (Å), 2θ (°), intensity, h k l
3.752, 23.72, 29, 1 0 1
2.948, 30.32, 28, 0 1 3
2.891, 30.93, 32, 1 1 2
2.502, 35.89, 54, 1 0 3
2.248, 40.12, 100, 1 3 0
2.127, 42.50, 46, 1 2 3
2.050, 44.18, 40, 0 3 3
2.042, 44.36, 40, 2 0 0

Cell and atoms:
Cell: 4.084 8.076 9.499 Å, 90.00 90.00 90.00°
Space group Immm (No. 71)
One atom of each set of equivalent atoms:
V  0.000  0.000  0.248
V  0.000  0.309  0.500
Pt  0.000  0.000  0.000
Pt  0.000  0.320  0.173
Rh  0.000  0.000  0.500


6.
For V3Pt6Rh, the PBE geometry in Alexandria gives the theoretical XRD peak list in this record (Cu Kα X-rays).
Neutral-atom scattering factors, no anomalous dispersion.

Largest 8 diffraction maxima, by angle, 2θ = 10–80°:
d (Å), 2θ (°), intensity, h k l
4.720, 18.80, 31, 2 0 0
3.046, 29.32, 28, 3 1 0
2.639, 33.98, 27, 1 0 1
2.265, 39.80, 96, 0 3 1
2.202, 40.98, 41, 1 3 1
2.171, 41.59, 64, 3 4 0
2.040, 44.40, 100, 3 1 1
1.957, 46.41, 45, 1 6 0

Cell and atoms:
Cell: 9.440 11.999 2.748 Å, 90.00 90.00 90.00°
Space group Pnnm (No. 58)
One atom of each set of equivalent atoms:
V  0.000  0.000  0.000
V  0.107  0.323  0.500
Pt  0.082  0.787  0.000
Pt  0.212  0.156  0.000
Pt  0.228  0.957  0.500
Rh  0.000  0.500  0.000


7.
For V2Pt5Rh, the PBE geometry in Alexandria gives the theoretical XRD peak list in this record (Cu Kα X-rays).
Neutral-atom scattering factors, no anomalous dispersion.

Largest 8 diffraction maxima, by angle, 2θ = 10–80°:
d (Å), 2θ (°), intensity, h k l
3.909, 22.75, 12, 1 2 0
2.756, 32.49, 10, 1 2 1
2.252, 40.03, 100, 2 0 1
1.954, 46.47, 33, 2 4 0
1.943, 46.75, 16, 0 0 2
1.594, 57.84, 4, 3 2 1
1.382, 67.82, 11, 4 0 0
1.378, 68.04, 21, 2 4 2

Cell and atoms:
Cell: 5.526 11.059 3.887 Å, 90.00 90.00 90.00°
Space group Pbam (No. 55)
One atom of each set of equivalent atoms:
V  0.243  0.123  0.000
Pt  0.000  0.500  0.500
Pt  0.002  0.751  0.500
Pt  0.249  0.877  0.000
Rh  0.000  0.000  0.500


8.
For VPt2Rh3, the PBE geometry in Alexandria gives the theoretical XRD peak list in this record (Cu Kα X-rays).
Neutral-atom scattering factors, no anomalous dispersion.

Largest 8 diffraction maxima, by angle, 2θ = 10–80°:
d (Å), 2θ (°), intensity, h k l
7.649, 11.57, 10, 0 0 1
2.234, 40.37, 100, 1 3 2
1.950, 46.59, 17, 2 0 0
1.944, 46.73, 17, 0 6 0
1.912, 47.55, 15, 0 0 4
1.376, 68.12, 11, 2 6 0
1.365, 68.76, 10, 2 0 4
1.363, 68.88, 10, 0 6 4

Cell and atoms:
Cell: 3.899 11.663 7.649 Å, 90.00 90.00 90.00°
Space group Cmmm (No. 65)
One atom of each set of equivalent atoms:
V  0.000  0.159  0.000
Pt  0.000  0.169  0.500
Pt  0.000  0.500  0.000
Pt  0.000  0.500  0.500
Rh  0.000  0.000  0.243
Rh  0.000  0.329  0.230


9.
For Pt3Rh3W2, the PBE geometry in Alexandria gives the theoretical XRD peak list in this record (Cu Kα X-rays).
Neutral-atom scattering factors, no anomalous dispersion.

Largest 8 diffraction maxima, by angle, 2θ = 10–80°:
d (Å), 2θ (°), intensity, h k l
2.482, 36.19, 62, 2 0 2
2.294, 39.27, 56, 2 1 1
2.153, 41.96, 100, 1 1 3
2.112, 42.82, 90, 3 0 0
2.054, 44.09, 63, 1 2 2
1.905, 47.74, 22, 1 0 4
1.366, 68.72, 28, 2 3 2
1.241, 76.80, 22, 4 0 4

Cell and atoms:
Cell: 7.3162 7.3162 7.9900 Å, 90.00 90.00 120.00°
Space group R32 (No. 155, hexagonal axes)
One atom of each set of equivalent atoms:
Pt  0.0000  0.7301  0.0000
Rh  0.0000  0.2893  0.5000
W  0.0000  0.0000  0.2600


10.
For Pt2Rh8W, the PBE geometry in Alexandria gives the theoretical XRD peak list in this record (Cu Kα X-rays).
Neutral-atom scattering factors, no anomalous dispersion.

Largest 8 diffraction maxima, by angle, 2θ = 10–80°:
d (Å), 2θ (°), intensity, h k l
3.999, 22.23, 25, 2 0 0
2.205, 40.92, 100, 0 4 1
2.186, 41.30, 94, 3 1 1
2.118, 42.70, 39, 3 3 0
2.052, 44.14, 41, 0 0 2
1.646, 55.87, 21, 3 5 0
1.474, 63.08, 26, 3 3 2
1.284, 73.81, 18, 3 5 2

Cell and atoms:
Cell: 7.997 10.460 4.104 Å, 90.00 90.00 90.00°
Space group Cmmm (No. 65)
One atom of each set of equivalent atoms:
Pt  0.000  0.123  0.000
Rh  0.000  0.258  0.500
Rh  0.164  0.372  0.000
Rh  0.173  0.000  0.500
W  0.000  0.500  0.500


11.
For Pt6Rh8W, the PBE geometry in Alexandria gives the theoretical XRD peak list in this record (Cu Kα X-rays).
Neutral-atom scattering factors, no anomalous dispersion.

Largest 8 diffraction maxima, by angle, 2θ = 10–80°:
d (Å), 2θ (°), intensity, h k l
3.640, 24.46, 18, 1 1 0
2.995, 29.83, 21, 1 1 1
2.705, 33.11, 21, 0 2 1
2.171, 41.59, 37, 3 -1 1
2.135, 42.33, 100, 1 1 2
2.101, 43.04, 69, 3 0 0
1.498, 61.96, 19, 4 -2 2
1.239, 76.92, 21, 2 -1 4

Cell and atoms:
Cell: 7.2795 7.2795 5.2726 Å, 90.00 90.00 120.00°
Space group P3 (No. 143)
One atom of each set of equivalent atoms:
Pt  0.0103  0.7181  0.0000
Pt  0.3724  0.0143  0.1968
Rh  0.0622  0.6706  0.4971
Rh  0.3162  0.0364  0.6921
Rh  0.3333  0.6667  0.8471
Rh  0.6667  0.3333  0.4711
W  0.0000  0.0000  0.3671


12.
For Pt3Rh4W, the PBE geometry in Alexandria gives the theoretical XRD peak list in this record (Cu Kα X-rays).
Neutral-atom scattering factors, no anomalous dispersion.

Largest 8 diffraction maxima, by angle, 2θ = 10–80°:
d (Å), 2θ (°), intensity, h k l
4.401, 20.18, 21, 0 0 4
2.393, 37.58, 49, 1 1 0
2.241, 40.23, 100, 0 2 4
2.200, 41.02, 45, 0 0 8
2.103, 43.02, 70, 1 1 4
1.620, 56.84, 27, 1 1 8
1.385, 67.62, 16, 1 3 4
1.216, 78.66, 17, 1 3 8

Cell and atoms:
Cell: 2.695 5.209 17.603 Å, 90.00 90.00 90.00°
Space group Immm (No. 71)
One atom of each set of equivalent atoms:
Pt  0.000  0.000  0.000
Pt  0.000  0.000  0.259
Rh  0.000  0.254  0.124
W  0.000  0.000  0.500